(1)
The following is a theoretical XRD peak list of BaSbPt3. It was derived from DFT lattice parameters and positions (GGA-PBE), using Cu Ka.

Crystal structure
Cell lengths 6.0331, 8.3992, 5.1650 Å; angles 90.00, 90.00, 90.00 degrees
Space group Cmmm (No. 65)
Symmetry-distinct sites (fractional):
Ba 0.0000 0.0000 0.0000 (multiplicity 2)
Sb 0.0000 0.5000 0.5000 (multiplicity 2)
Pt 0.0000 0.5000 0.0000 (multiplicity 2)
Pt 0.2500 0.2500 0.5000 (multiplicity 4)

Most intense lines, 15 to 90 degrees two-theta, most intense first:
h k l	Position (°2θ)	I_rel
0 2 1	27.37	100
2 2 0	36.68	93
2 2 2	51.41	72
2 0 1	34.43	55
0 0 2	34.74	54
0 4 0	43.08	30
2 4 1	56.28	29
0 4 2	56.48	27
1 1 0	18.10	26
2 2 4	84.89	17

---

(2)
The following is a theoretical XRD peak list of NaTiCu2O4. It was derived from DFT lattice parameters and positions (GGA-PBE), using Cu Ka.

Crystal structure
Cell lengths 5.4022, 5.4022, 6.4123 Å; angles 90.00, 90.00, 90.00 degrees
Space group I-42m (No. 121)
Symmetry-distinct sites (fractional):
Na 0.0000 0.0000 0.0000 (multiplicity 2)
Ti 0.0000 0.0000 0.5000 (multiplicity 2)
Cu 0.0000 0.5000 0.2500 (multiplicity 4)
O 0.1941 0.1941 0.3248 (multiplicity 8)

Most intense lines, 15 to 90 degrees two-theta, most intense first:
h k l	Position (°2θ)	I_rel
1 1 2	36.59	100
3 1 2	61.51	43
2 0 0	33.17	37
2 2 0	47.61	31
2 0 4	68.01	17
0 0 2	27.83	13
1 1 0	23.29	12
1 0 1	21.51	11
2 2 4	77.78	8
4 2 0	79.32	8

---

(3)
The following is a theoretical XRD peak list of CaPm3Ga4. It was derived from DFT lattice parameters and positions (GGA-PBE), using Cu Ka.

Crystal structure
Cell lengths 10.3618, 7.3431, 5.1821 Å; angles 90.00, 90.00, 90.00 degrees
Space group Pmma (No. 51)
Symmetry-distinct sites (fractional):
Ca 0.0000 0.0000 0.0000 (multiplicity 2)
Pm 0.0000 0.5000 0.0000 (multiplicity 2)
Pm 0.2500 0.0000 0.4988 (multiplicity 2)
Pm 0.2500 0.5000 0.4990 (multiplicity 2)
Ga 0.0000 0.2483 0.5000 (multiplicity 4)
Ga 0.2500 0.2484 0.9986 (multiplicity 4)

Most intense lines, 15 to 90 degrees two-theta, most intense first:
h k l	Position (°2θ)	I_rel
4 0 0	34.60	100
6 2 1	62.00	36
4 0 2	49.77	12
8 0 0	72.99	11
8 0 2	83.41	10
2 0 1	24.28	7
0 4 0	49.66	6
2 6 1	83.23	5
2 1 0	20.98	4
2 0 0	17.11	3

---

(4)
The following is a theoretical XRD peak list of La5TbPmSm2. It was derived from DFT lattice parameters and positions (GGA-PBE), using Cu Ka.

Crystal structure
Cell lengths 9.0902, 9.0902, 15.5761 Å; angles 90.00, 90.00, 90.00 degrees
Space group I4/mcm (No. 140)
Symmetry-distinct sites (fractional):
La 0.0000 0.0000 0.0000 (multiplicity 4)
La 0.2059 0.2941 0.1394 (multiplicity 16)
Tb 0.0000 0.5000 0.2500 (multiplicity 4)
Pm 0.0000 0.0000 0.2500 (multiplicity 4)
Sm 0.1150 0.3850 0.5000 (multiplicity 8)

Most intense lines, 15 to 90 degrees two-theta, most intense first:
h k l	Position (°2θ)	I_rel
2 0 4	30.22	100
2 1 3	27.87	57
2 2 0	27.76	53
4 0 2	41.37	25
4 2 4	50.66	21
3 2 1	36.09	20
3 1 0	31.11	15
4 4 8	76.87	13
2 1 5	36.33	12
4 1 3	44.64	12

---

(5)
The following is a theoretical XRD peak list of Eu5Ta4O15. It was derived from DFT lattice parameters and positions (GGA-PBE), using Cu Ka.

Crystal structure
Cell lengths 5.6849, 5.6849, 11.5765 Å; angles 90.00, 90.00, 120.00 degrees
Space group P-3m1 (No. 164)
Symmetry-distinct sites (fractional):
Eu 0.0000 0.0000 0.0000 (multiplicity 1)
Eu 0.3333 0.6667 0.4437 (multiplicity 2)
Eu 0.3333 0.6667 0.7730 (multiplicity 2)
Ta 0.0000 0.0000 0.3160 (multiplicity 2)
Ta 0.3333 0.6667 0.1034 (multiplicity 2)
O 0.0000 0.5000 0.0000 (multiplicity 3)
O 0.1640 0.3279 0.1947 (multiplicity 6)
O 0.1703 0.3405 0.6072 (multiplicity 6)

Most intense lines, 15 to 90 degrees two-theta, most intense first:
h k l	Position (°2θ)	I_rel
0 1 3	29.41	100
1 1 0	31.47	85
2 0 3	43.61	48
1 2 3	54.77	37
1 0 6	50.83	24
3 1 3	73.59	17
2 1 6	70.28	17
3 0 0	56.04	17
0 4 3	82.25	17
2 2 0	65.70	15

---

Question: Which formula does entry 5 have?
Answer: Eu5Ta4O15